CsTl2CoF6: computed powder diffractogram (copper Kα), based on a DFT-relaxed cell (PBE+U, Alexandria).

Top 6 peaks for 2θ = 10–90°, sorted by position:
two_theta  I (rel.)  (hkl)
11.58  31  0 0 1
27.19  100  1 2 1
27.74  33  1 0 2
29.97  30  2 0 0
40.54  24  0 2 3
51.25  19  2 2 3

Structural model:
Lattice parameters (Å, degrees): 5.962 9.156 7.638 90.00 90.00 90.00
Fractional coordinates of all 20 atoms:
Cs  0.250  0.250  0.165
Cs  0.750  0.750  0.835
Tl  0.250  0.039  0.670
Tl  0.250  0.461  0.670
Tl  0.750  0.539  0.330
Tl  0.750  0.961  0.330
Co  0.250  0.750  0.321
Co  0.750  0.250  0.679
F  0.022  0.750  0.494
F  0.024  0.750  0.151
F  0.250  0.544  0.324
F  0.250  0.956  0.324
F  0.476  0.750  0.151
F  0.478  0.750  0.494
F  0.522  0.250  0.506
F  0.524  0.250  0.849
F  0.750  0.044  0.676
F  0.750  0.456  0.676
F  0.976  0.250  0.849
F  0.978  0.250  0.506